# 1
This entry pairs a crystal structure of Li4Co2OF7 with its theoretical powder diffraction line list. Radiation: λ = 1.5418 Å (Cu Kα). Structure: a structure optimized by DFT (GGA+U).
Neutral-atom scattering factors, no anomalous dispersion.

Largest 6 diffraction maxima, sorted by position, 2θ = 15–90°:
Position (°2θ)  I (rel.)
18.23  965
18.33  1000
20.91  497
35.09  500
35.18  491
42.92  812

Structural model:
Lattice parameters (Å, degrees): 10.322 6.009 10.380 90.00 110.33 90.00
Space group Cc (No. 9)
Unique sites:
Li 0.000 0.247 0.000 x4
Li 0.183 0.251 0.566 x4
Li 0.358 0.251 0.127 x4
Li 0.429 0.252 0.815 x4
Co 0.167 0.478 0.302 x4
Co 0.177 0.006 0.312 x4
O 0.066 0.263 0.202 x4
F 0.061 0.256 0.692 x4
F 0.064 0.017 0.437 x4
F 0.064 0.488 0.435 x4
F 0.289 0.265 0.922 x4
F 0.299 0.259 0.439 x4
F 0.299 0.485 0.699 x4
F 0.300 0.015 0.697 x4

# 2
This entry pairs a crystal structure of Li6Co2OF11 with its theoretical powder diffraction line list. Radiation: λ = 1.5418 Å (Cu Kα). Structure: a structure optimized by DFT (GGA+U).
Neutral-atom scattering factors, no anomalous dispersion.

Largest 6 diffraction maxima, sorted by position, 2θ = 15–90°:
Position (°2θ)  I (rel.)
17.76  1000
19.77  527
21.33  500
22.06  346
24.05  673
40.22  354

Structural model:
Lattice parameters (Å, degrees): 5.047 5.773 8.531 106.77 91.04 115.40
Space group P1 (No. 1)
Unique sites:
Li 0.000 0.000 0.000 x1
Li 0.028 0.014 0.411 x1
Li 0.139 0.539 0.318 x1
Li 0.252 0.461 0.811 x1
Li 0.373 0.903 0.692 x1
Li 0.744 0.434 0.995 x1
Co 0.519 0.951 0.209 x1
Co 0.761 0.480 0.619 x1
O 0.563 0.782 0.323 x1
F 0.023 0.710 0.508 x1
F 0.050 0.719 0.811 x1
F 0.089 0.751 0.189 x1
F 0.456 0.150 0.089 x1
F 0.479 0.232 0.422 x1
F 0.515 0.278 0.745 x1
F 0.555 0.682 0.660 x1
F 0.584 0.719 0.006 x1
F 0.942 0.172 0.240 x1
F 0.965 0.275 0.588 x1
F 0.989 0.267 0.929 x1

# 3
This entry pairs a crystal structure of Li4Co7O2F14 with its theoretical powder diffraction line list. Radiation: λ = 1.5418 Å (Cu Kα). Structure: a structure optimized by DFT (GGA+U).
Neutral-atom scattering factors, no anomalous dispersion.

Largest 6 diffraction maxima, sorted by position, 2θ = 15–90°:
Position (°2θ)  I (rel.)
17.87  319
18.36  1000
34.22  585
41.83  458
42.03  457
42.41  447

Structural model:
Lattice parameters (Å, degrees): 5.947 6.054 10.553 91.93 105.24 118.35
Space group P1 (No. 1)
Unique sites:
Li 0.000 0.000 0.000 x1
Li 0.000 0.490 0.494 x1
Li 0.254 0.156 0.390 x1
Li 0.262 0.693 0.883 x1
Co 0.122 0.575 0.188 x1
Co 0.146 0.087 0.689 x1
Co 0.599 0.080 0.689 x1
Co 0.603 0.331 0.942 x1
Co 0.620 0.572 0.687 x1
Co 0.623 0.081 0.190 x1
Co 0.632 0.809 0.431 x1
O 0.388 0.009 0.814 x1
O 0.393 0.231 0.589 x1
F 0.359 0.469 0.317 x1
F 0.378 0.938 0.319 x1
F 0.380 0.736 0.081 x1
F 0.387 0.190 0.071 x1
F 0.395 0.491 0.820 x1
F 0.396 0.710 0.561 x1
F 0.861 0.975 0.317 x1
F 0.862 0.690 0.557 x1
F 0.865 0.943 0.790 x1
F 0.866 0.468 0.815 x1
F 0.867 0.166 0.569 x1
F 0.870 0.427 0.302 x1
F 0.873 0.211 0.066 x1
F 0.882 0.677 0.060 x1

# 4
This entry pairs a crystal structure of Li4Co7O2F14 with its theoretical powder diffraction line list. Radiation: λ = 1.5418 Å (Cu Kα). Structure: a structure optimized by DFT (GGA+U).
Neutral-atom scattering factors, no anomalous dispersion.

Largest 6 diffraction maxima, sorted by position, 2θ = 15–90°:
Position (°2θ)  I (rel.)
17.58  1000
17.90  267
20.51  227
35.90  368
39.04  294
40.02  416

Structural model:
Lattice parameters (Å, degrees): 5.521 6.140 10.757 89.08 86.21 66.30
Space group P-1 (No. 2)
Unique sites:
Li 0.111 0.406 0.274 x2
Li 0.214 0.849 0.755 x2
Co 0.000 0.000 0.000 x1
Co 0.468 0.759 0.252 x2
Co 0.500 0.000 0.000 x1
Co 0.500 0.000 0.500 x1
Co 0.500 0.500 0.000 x1
Co 0.500 0.500 0.500 x1
O 0.323 0.820 0.924 x2
F 0.187 0.077 0.178 x2
F 0.259 0.560 0.673 x2
F 0.265 0.591 0.178 x2
F 0.285 0.820 0.429 x2
F 0.298 0.319 0.909 x2
F 0.303 0.333 0.425 x2
F 0.314 0.077 0.673 x2

# 5
This entry pairs a crystal structure of Li2CoOF3 with its theoretical powder diffraction line list. Radiation: λ = 1.5418 Å (Cu Kα). Structure: a structure optimized by DFT (GGA+U).
Neutral-atom scattering factors, no anomalous dispersion.

Largest 6 diffraction maxima, sorted by position, 2θ = 15–90°:
Position (°2θ)  I (rel.)
17.62  881
18.40  524
24.77  1000
39.75  331
39.91  708
52.12  536

Structural model:
Lattice parameters (Å, degrees): 9.642 5.904 5.132 90.00 90.15 90.00
Space group C2 (No. 5)
Unique sites:
Li 0.195 0.000 0.001 x4
Li 0.204 0.288 0.480 x4
Co 0.000 0.533 0.000 x2
Co 0.000 0.795 0.500 x2
O 0.101 0.751 0.198 x4
F 0.128 0.290 0.129 x4
F 0.134 0.537 0.692 x4
F 0.142 0.010 0.638 x4

# 6
This entry pairs a crystal structure of LiCo5O5F with its theoretical powder diffraction line list. Radiation: λ = 1.5418 Å (Cu Kα). Structure: a structure optimized by DFT (GGA+U).
Neutral-atom scattering factors, no anomalous dispersion.

Largest 6 diffraction maxima, sorted by position, 2θ = 15–90°:
Position (°2θ)  I (rel.)
31.54  728
33.95  504
35.94  1000
56.16  445
62.05  394
67.27  341

Structural model:
Lattice parameters (Å, degrees): 3.2754 3.2754 15.8427 90.00 90.00 120.00
Space group P3m1 (No. 156)
Unique sites:
Li 0.0000 0.0000 0.0000 x1
Co 0.0000 0.0000 0.3237 x1
Co 0.0000 0.0000 0.6610 x1
Co 0.3333 0.6667 0.1574 x1
Co 0.3333 0.6667 0.4959 x1
Co 0.3333 0.6667 0.8249 x1
O 0.0000 0.0000 0.1192 x1
O 0.0000 0.0000 0.4577 x1
O 0.0000 0.0000 0.7892 x1
O 0.3333 0.6667 0.2875 x1
O 0.3333 0.6667 0.6238 x1
F 0.3333 0.6667 0.9535 x1